Diffraction record for K2VZnO4. The X-ray powder pattern is simulated, not measured: it uses a crystal structure in Alexandria, relaxed with GGA+U and copper Kα.
Intensities are scaled so that the largest is 100.

Unit cell a=6.0764 b=6.7057 c=6.5096 alpha=90.00 beta=90.00 gamma=90.00
Positions (direct):
1 K 0.2500 0.0026 0.2292
2 K 0.2500 0.4974 0.2292
3 K 0.7500 0.5026 0.7708
4 K 0.7500 0.9974 0.7708
5 V 0.2500 0.2500 0.6771
6 V 0.7500 0.7500 0.3229
7 Zn 0.2500 0.7500 0.6727
8 Zn 0.7500 0.2500 0.3273
9 O 0.0023 0.2500 0.5230
10 O 0.2500 0.0111 0.8198
11 O 0.2500 0.4889 0.8198
12 O 0.4977 0.2500 0.5230
13 O 0.5023 0.7500 0.4770
14 O 0.7500 0.5111 0.1802
15 O 0.7500 0.9889 0.1802
16 O 0.9977 0.7500 0.4770

The 6 most intense peaks (2θ from 10° to 90°), by angle:
index, Position (°2θ), intensity
0 0 1, 13.60, 39
2 0 0, 29.40, 59
0 2 1, 29.98, 35
1 2 1, 33.49, 100
2 0 2, 40.62, 45
0 4 0, 54.78, 37